Diffraction record for Li8Ti15O32. The X-ray diffraction stick pattern is computed, not measured: it uses a structure optimized by DFT (GGA-PBE) and Cu Kα (weighted mean of Kα1 and Kα2).
Peak positions follow from Bragg's law for the DFT cell and can differ from measured ones.

Atomic structure:
```
Li8Ti15O32
1.0
2.9892 1.7258 19.5167
-2.9892 1.7258 19.5167
0.0000 -3.4516 19.5167
Li Ti O
8 15 32
Cartesian
0.0000 0.0000 0.0000
0.0000 0.0000 3.6000
0.0000 0.0000 18.2411
0.0000 0.0000 23.7548
0.0000 0.0000 29.2479
0.0000 0.0000 32.9243
0.0000 0.0000 43.9124
0.0000 0.0000 47.5232
0.0000 -1.7187 11.5709
-1.4884 0.8593 11.5709
-1.4645 -0.8456 21.3797
0.0000 0.0000 9.0831
-1.5043 -0.8685 35.9420
0.0000 -1.6903 26.1329
-1.4639 0.8452 26.1329
1.4646 -0.8456 21.3797
0.0000 1.6911 21.3797
1.4884 0.8593 11.5709
0.0000 0.0000 38.4192
1.4639 0.8452 26.1329
1.5043 -0.8685 35.9420
0.0000 1.7370 35.9420
0.0000 0.0000 53.0714
0.0000 -1.9358 15.3069
-1.6764 0.9679 15.3069
0.0000 0.0000 5.6260
-1.3906 -0.8029 25.1508
-1.6458 -0.9502 32.2267
0.0000 0.0000 12.5359
0.0000 -1.6051 22.3632
-1.3901 0.8026 22.3632
0.0000 -1.8985 29.9051
-1.6441 0.9492 29.9051
0.0000 0.0000 20.2760
-1.3248 -0.7649 39.6725
-1.6634 -0.9604 46.8781
0.0000 0.0000 27.2374
0.0000 -1.5440 37.1254
-1.3372 0.7720 37.1254
1.3906 -0.8028 25.1509
0.0000 1.6057 25.1509
0.0000 0.0000 34.9283
1.6764 0.9679 15.3068
1.3901 0.8026 22.3632
0.0000 0.0000 41.8899
1.6458 -0.9502 32.2267
0.0000 1.9004 32.2267
1.3248 -0.7649 39.6725
0.0000 1.5298 39.6725
0.0000 0.0000 49.5551
1.6441 0.9492 29.9051
1.3371 0.7720 37.1253
0.0000 0.0000 56.5322
1.6634 -0.9604 46.8781
0.0000 1.9207 46.8781
```

Largest 12 diffraction maxima, most intense first, 10 to 80 degrees two-theta:
d (Å), I/Imax
4.880, 100
2.113, 60
2.549, 42
1.494, 35
1.627, 20
1.429, 13
1.220, 9
1.939, 7
1.289, 4
2.440, 4
1.274, 4
3.253, 1